Starting from a structure optimized by DFT (PBE+U), the powder XRD pattern of Fe2Mo3O8 was calculated for Cu Kα (weighted mean of Kα1 and Kα2).
No peak broadening, texture or thermal motion is included.

Structural model:
Lattice parameters (Å, degrees): 6.3128 6.3128 9.4200 90.00 90.00 120.00
Space group P6_3mc (No. 186)
Asymmetric unit:
Fe  0.3333  0.6667  0.0000 x2
Fe  0.3333  0.6667  0.3761 x2
Mo  0.1647  0.3294  0.7052 x6
O  0.0000  0.0000  0.3125 x2
O  0.0239  0.5119  0.8435 x6
O  0.1751  0.3503  0.1020 x6
O  0.3333  0.6667  0.5812 x2

Principal peaks in the range 10° ≤ 2θ ≤ 90°, in order of rising 2θ:
| d [Å] | Rel. int. | index |
| --- | --- | --- |
| 4.714 | 49 | 0 0 2 |
| 3.568 | 26 | 1 0 2 |
| 2.723 | 32 | 1 0 3 |
| 2.624 | 100 | 2 0 1 |
| 1.578 | 28 | 2 2 0 |
| 1.551 | 30 | 2 0 5 |